No. 1
Diffraction record for Ca2Al2CuPd5. The X-ray powder pattern is theoretical, not measured: it uses a DFT-relaxed cell (PBE, Alexandria) and CuKα.

Structure:
abc: 10.0949 10.0949 3.4553
angles: 90.00 90.00 90.00
Element x y z (fractional)
Ca (0.1742, 0.3258, 0.0000)
Ca (0.3258, 0.8258, 0.0000)
Ca (0.6742, 0.1742, 0.0000)
Ca (0.8258, 0.6742, 0.0000)
Al (0.1269, 0.6269, 0.0000)
Al (0.3731, 0.1269, 0.0000)
Al (0.6269, 0.8731, 0.0000)
Al (0.8731, 0.3731, 0.0000)
Cu (0.0000, 0.0000, 0.0000)
Cu (0.5000, 0.5000, 0.0000)
Pd (0.0000, 0.5000, 0.5000)
Pd (0.0642, 0.7999, 0.5000)
Pd (0.2001, 0.0642, 0.5000)
Pd (0.2999, 0.5642, 0.5000)
Pd (0.4358, 0.2999, 0.5000)
Pd (0.5000, 0.0000, 0.5000)
Pd (0.5642, 0.7001, 0.5000)
Pd (0.7001, 0.4358, 0.5000)
Pd (0.7999, 0.9358, 0.5000)
Pd (0.9358, 0.2001, 0.5000)

Main lines, in order of rising 2θ (2θ from 10° to 80°):
| two_theta | d [Å] | I_rel |
| --- | --- | --- |
| 25.78 | 3.455 | 27.5 |
| 36.18 | 2.483 | 21.9 |
| 36.71 | 2.448 | 49.5 |
| 38.39 | 2.345 | 100.0 |
| 39.94 | 2.257 | 19.1 |
| 41.51 | 2.175 | 36.6 |
| 45.40 | 1.998 | 20.5 |
| 53.00 | 1.728 | 18.5 |
| 66.20 | 1.412 | 16.5 |
| 71.50 | 1.319 | 18.9 |

=====

No. 2
Diffraction record for Ce3GaGe6Pt2. The X-ray powder pattern is theoretical, not measured: it uses a DFT-relaxed cell (PBE, Alexandria) and CuKα.

Structure:
abc: 5.9260 5.9260 8.2779
angles: 90.00 90.00 120.00
Element x y z (fractional)
Ce (0.0000, 0.0000, 0.0000)
Ce (0.3333, 0.6667, 0.6344)
Ce (0.6667, 0.3333, 0.3656)
Ga (0.0000, 0.0000, 0.5000)
Ge (0.1874, 0.3749, 0.2755)
Ge (0.1874, 0.8126, 0.2755)
Ge (0.3749, 0.1874, 0.7245)
Ge (0.6251, 0.8126, 0.2755)
Ge (0.8126, 0.1874, 0.7245)
Ge (0.8126, 0.6251, 0.7245)
Pt (0.3333, 0.6667, 0.0106)
Pt (0.6667, 0.3333, 0.9894)

Main lines, in order of rising 2θ (2θ from 10° to 80°):
| two_theta | d [Å] | I_rel |
| --- | --- | --- |
| 27.69 | 3.222 | 24.1 |
| 30.16 | 2.963 | 100.0 |
| 32.08 | 2.790 | 24.4 |
| 32.45 | 2.759 | 38.2 |
| 36.67 | 2.451 | 57.4 |
| 37.32 | 2.409 | 94.7 |
| 41.40 | 2.181 | 33.0 |
| 44.89 | 2.019 | 45.4 |
| 58.37 | 1.581 | 29.3 |
| 62.71 | 1.481 | 34.1 |

=====

No. 3
Diffraction record for Ac2AlCu3Sn4. The X-ray powder pattern is theoretical, not measured: it uses a DFT-relaxed cell (PBE, Alexandria) and CuKα.

Structure:
abc: 4.6358 4.6358 10.9694
angles: 90.00 90.00 90.00
Element x y z (fractional)
Ac (0.0000, 0.5000, 0.2486)
Ac (0.5000, 0.0000, 0.7514)
Al (0.5000, 0.5000, 0.0000)
Cu (0.0000, 0.0000, 0.0000)
Cu (0.0000, 0.5000, 0.6287)
Cu (0.5000, 0.0000, 0.3713)
Sn (0.0000, 0.0000, 0.5000)
Sn (0.0000, 0.5000, 0.8650)
Sn (0.5000, 0.0000, 0.1350)
Sn (0.5000, 0.5000, 0.5000)

Main lines, in order of rising 2θ (2θ from 10° to 80°):
| two_theta | d [Å] | I_rel |
| --- | --- | --- |
| 27.20 | 3.278 | 25.9 |
| 31.15 | 2.871 | 70.8 |
| 31.80 | 2.814 | 100.0 |
| 38.85 | 2.318 | 59.3 |
| 45.75 | 1.983 | 32.7 |
| 50.61 | 1.803 | 37.2 |
| 56.12 | 1.639 | 20.5 |
| 57.74 | 1.597 | 12.7 |
| 61.54 | 1.507 | 27.3 |
| 65.96 | 1.416 | 25.4 |

=====

No. 4
Diffraction record for CoRh5S8. The X-ray powder pattern is theoretical, not measured: it uses a DFT-relaxed cell (PBE, Alexandria) and CuKα.

Structure:
abc: 6.9012 6.9012 6.9012
angles: 60.00 60.00 60.00
Element x y z (fractional)
Co (0.0000, 0.0000, 0.0000)
Rh (0.3713, 0.3713, 0.3713)
Rh (0.3713, 0.3713, 0.8860)
Rh (0.3713, 0.8860, 0.3713)
Rh (0.7500, 0.7500, 0.7500)
Rh (0.8860, 0.3713, 0.3713)
S (0.1267, 0.1267, 0.1267)
S (0.1267, 0.1267, 0.6198)
S (0.1267, 0.6198, 0.1267)
S (0.1517, 0.6161, 0.6161)
S (0.6161, 0.1517, 0.6161)
S (0.6161, 0.6161, 0.1517)
S (0.6161, 0.6161, 0.6161)
S (0.6198, 0.1267, 0.1267)

Main lines, in order of rising 2θ (2θ from 10° to 80°):
| two_theta | d [Å] | I_rel |
| --- | --- | --- |
| 15.73 | 5.635 | 18.4 |
| 25.82 | 3.451 | 21.0 |
| 30.38 | 2.943 | 100.0 |
| 36.84 | 2.440 | 36.3 |
| 45.53 | 1.992 | 9.3 |
| 48.47 | 1.878 | 40.5 |
| 53.08 | 1.725 | 65.2 |
| 62.39 | 1.488 | 12.0 |
| 74.71 | 1.271 | 20.0 |
| 78.38 | 1.220 | 9.8 |

=====

No. 5
Diffraction record for HoTh2NpN4. The X-ray powder pattern is theoretical, not measured: it uses a DFT-relaxed cell (PBE, Alexandria) and CuKα.

Structure:
abc: 6.1298 3.5497 6.1763
angles: 90.00 109.23 90.00
Element x y z (fractional)
Ho (0.0000, 0.0000, 0.0000)
Th (0.0000, 0.5000, 0.5000)
Th (0.5000, 0.0000, 0.5000)
Np (0.5000, 0.5000, 0.0000)
N (0.2517, 0.5000, 0.2331)
N (0.2605, 0.0000, 0.7719)
N (0.7395, 0.0000, 0.2281)
N (0.7483, 0.5000, 0.7669)

Main lines, in order of rising 2θ (2θ from 10° to 80°):
| two_theta | d [Å] | I_rel |
| --- | --- | --- |
| 30.66 | 2.916 | 34.0 |
| 30.87 | 2.896 | 100.0 |
| 35.74 | 2.513 | 88.8 |
| 51.30 | 1.781 | 31.7 |
| 51.49 | 1.775 | 10.5 |
| 51.61 | 1.771 | 20.8 |
| 60.92 | 1.521 | 10.5 |
| 61.16 | 1.515 | 20.7 |
| 61.27 | 1.513 | 20.6 |
| 64.33 | 1.448 | 16.1 |

=====

No. 6
Diffraction record for Ce2ErBe2O6. The X-ray powder pattern is theoretical, not measured: it uses a DFT-relaxed cell (PBE, Alexandria) and CuKα.

Structure:
abc: 5.4143 5.4143 6.1906
angles: 90.00 90.00 120.00
Element x y z (fractional)
Ce (0.3333, 0.6667, 0.3728)
Ce (0.6667, 0.3333, 0.6272)
Er (0.0000, 0.0000, 0.0000)
Be (0.3333, 0.6667, 0.8191)
Be (0.6667, 0.3333, 0.1809)
O (0.0699, 0.7035, 0.7800)
O (0.2965, 0.3664, 0.7800)
O (0.3664, 0.0699, 0.2200)
O (0.6336, 0.9301, 0.7800)
O (0.7035, 0.6336, 0.2200)
O (0.9301, 0.2965, 0.2200)

Main lines, in order of rising 2θ (2θ from 10° to 80°):
| two_theta | d [Å] | I_rel |
| --- | --- | --- |
| 23.81 | 3.738 | 100.0 |
| 33.09 | 2.707 | 42.4 |
| 34.73 | 2.583 | 42.4 |
| 41.17 | 2.192 | 29.4 |
| 48.72 | 1.869 | 14.9 |
| 53.80 | 1.704 | 24.7 |
| 56.04 | 1.641 | 16.2 |
| 59.11 | 1.563 | 12.0 |
| 60.17 | 1.538 | 15.8 |
| 74.56 | 1.273 | 8.3 |

=====

No. 7
Diffraction record for Na5HfAs3. The X-ray powder pattern is theoretical, not measured: it uses a DFT-relaxed cell (PBE, Alexandria) and CuKα.

Structure:
abc: 8.5249 7.5753 16.2345
angles: 90.00 121.15 90.00
Element x y z (fractional)
Na (0.0039, 0.1625, 0.0814)
Na (0.0039, 0.3375, 0.5814)
Na (0.0844, 0.0093, 0.7619)
Na (0.0844, 0.4907, 0.2619)
Na (0.2610, 0.5127, 0.0927)
Na (0.2610, 0.9873, 0.5927)
Na (0.3194, 0.6532, 0.7427)
Na (0.3194, 0.8468, 0.2427)
Na (0.4053, 0.0294, 0.0839)
Na (0.4053, 0.4706, 0.5839)
Na (0.5947, 0.5294, 0.4161)
Na (0.5947, 0.9706, 0.9161)
Na (0.6806, 0.1532, 0.7573)
Na (0.6806, 0.3468, 0.2573)
Na (0.7390, 0.0127, 0.4073)
Na (0.7390, 0.4873, 0.9073)
Na (0.9156, 0.5093, 0.7381)
Na (0.9156, 0.9907, 0.2381)
Na (0.9961, 0.6625, 0.4186)
Na (0.9961, 0.8375, 0.9186)
Hf (0.3398, 0.1419, 0.4136)
Hf (0.3398, 0.3581, 0.9136)
Hf (0.6602, 0.6419, 0.0864)
Hf (0.6602, 0.8581, 0.5864)
As (0.0571, 0.2426, 0.9169)
As (0.0571, 0.2574, 0.4169)
As (0.3409, 0.7064, 0.9306)
As (0.3409, 0.7936, 0.4306)
As (0.3555, 0.2383, 0.2652)
As (0.3555, 0.2617, 0.7652)
As (0.6445, 0.7383, 0.2348)
As (0.6445, 0.7617, 0.7348)
As (0.6591, 0.2064, 0.5694)
As (0.6591, 0.2936, 0.0694)
As (0.9429, 0.7426, 0.5831)
As (0.9429, 0.7574, 0.0831)

Main lines, in order of rising 2θ (2θ from 10° to 80°):
| two_theta | d [Å] | I_rel |
| --- | --- | --- |
| 12.23 | 7.236 | 100.0 |
| 13.31 | 6.651 | 49.8 |
| 15.65 | 5.663 | 48.9 |
| 16.87 | 5.255 | 49.3 |
| 17.32 | 5.120 | 48.4 |
| 32.23 | 2.778 | 47.7 |
| 36.96 | 2.432 | 39.6 |
| 37.28 | 2.412 | 44.4 |
| 38.89 | 2.316 | 55.5 |
| 42.11 | 2.146 | 42.6 |

=====

No. 8
Diffraction record for Tb3NdDy5. The X-ray powder pattern is theoretical, not measured: it uses a DFT-relaxed cell (PBE, Alexandria) and CuKα.

Structure:
abc: 8.8269 8.8269 11.3708
angles: 107.31 107.31 44.61
Element x y z (fractional)
Tb (0.0000, 0.0000, 0.0000)
Tb (0.0000, 0.0000, 0.5000)
Tb (0.1400, 0.3826, 0.6436)
Tb (0.3826, 0.1400, 0.1436)
Tb (0.6174, 0.8600, 0.8564)
Tb (0.8600, 0.6174, 0.3564)
Nd (0.2278, 0.7722, 0.7500)
Nd (0.7722, 0.2278, 0.2500)
Dy (0.0565, 0.2951, 0.8729)
Dy (0.2951, 0.0565, 0.3729)
Dy (0.3194, 0.6806, 0.2500)
Dy (0.3882, 0.3956, 0.4542)
Dy (0.3956, 0.3882, 0.9542)
Dy (0.6044, 0.6118, 0.0458)
Dy (0.6118, 0.6044, 0.5458)
Dy (0.6806, 0.3194, 0.7500)
Dy (0.7049, 0.9435, 0.6271)
Dy (0.9435, 0.7049, 0.1271)

Main lines, in order of rising 2θ (2θ from 10° to 80°):
| two_theta | d [Å] | I_rel |
| --- | --- | --- |
| 30.66 | 2.916 | 32.6 |
| 31.30 | 2.858 | 100.0 |
| 31.47 | 2.843 | 89.8 |
| 31.62 | 2.830 | 26.2 |
| 31.87 | 2.808 | 18.0 |
| 32.57 | 2.749 | 27.8 |
| 50.38 | 1.811 | 14.8 |
| 56.21 | 1.636 | 21.1 |
| 56.38 | 1.632 | 14.1 |
| 57.26 | 1.609 | 13.4 |

=====

No. 9
Diffraction record for Te4BrO4. The X-ray powder pattern is theoretical, not measured: it uses a DFT-relaxed cell (PBE, Alexandria) and CuKα.

Structure:
abc: 8.3440 8.3440 5.0942
angles: 90.00 90.00 90.00
Element x y z (fractional)
Te (0.0063, 0.7996, 0.1717)
Te (0.2004, 0.5063, 0.6717)
Te (0.2996, 0.9937, 0.6717)
Te (0.4937, 0.7004, 0.1717)
Te (0.5063, 0.2996, 0.8283)
Te (0.7004, 0.0063, 0.3283)
Te (0.7996, 0.4937, 0.3283)
Te (0.9937, 0.2004, 0.8283)
Br (0.2500, 0.2500, 0.2500)
Br (0.7500, 0.7500, 0.7500)
O (0.1068, 0.8355, 0.5136)
O (0.1645, 0.6068, 0.0136)
O (0.3355, 0.8932, 0.0136)
O (0.3932, 0.6645, 0.5136)
O (0.6068, 0.3355, 0.4864)
O (0.6645, 0.1068, 0.9864)
O (0.8355, 0.3932, 0.9864)
O (0.8932, 0.1645, 0.4864)

Main lines, in order of rising 2θ (2θ from 10° to 80°):
| two_theta | d [Å] | I_rel |
| --- | --- | --- |
| 20.43 | 4.348 | 16.3 |
| 27.64 | 3.228 | 20.2 |
| 29.68 | 3.010 | 100.0 |
| 30.30 | 2.950 | 24.2 |
| 33.98 | 2.639 | 34.8 |
| 36.89 | 2.437 | 13.5 |
| 42.96 | 2.105 | 34.5 |
| 48.40 | 1.881 | 14.1 |
| 58.20 | 1.585 | 20.5 |
| 58.70 | 1.573 | 14.8 |

=====

No. 10
Diffraction record for Se2N. The X-ray powder pattern is theoretical, not measured: it uses a DFT-relaxed cell (PBE, Alexandria) and CuKα.

Structure:
abc: 5.1519 5.8325 8.3137
angles: 69.63 86.90 89.96
Element x y z (fractional)
Se (0.0000, 0.0000, 0.0000)
Se (0.1591, 0.6615, 0.6747)
Se (0.3215, 0.8051, 0.8830)
Se (0.8377, 0.3507, 0.7918)
N (0.5746, 0.1703, 0.3401)
N (0.5889, 0.3629, 0.3358)

Main lines, in order of rising 2θ (2θ from 10° to 80°):
| two_theta | d [Å] | I_rel |
| --- | --- | --- |
| 11.37 | 7.781 | 100.0 |
| 17.24 | 5.143 | 13.0 |
| 22.90 | 3.883 | 22.7 |
| 22.98 | 3.871 | 18.6 |
| 23.52 | 3.783 | 26.1 |
| 24.00 | 3.707 | 40.7 |
| 28.23 | 3.161 | 18.1 |
| 29.44 | 3.034 | 19.3 |
| 36.30 | 2.475 | 12.5 |
| 48.11 | 1.891 | 15.8 |

=====

No. 11
Diffraction record for NaDyTm4S8. The X-ray powder pattern is theoretical, not measured: it uses a DFT-relaxed cell (PBE, Alexandria) and CuKα.

Structure:
abc: 8.0308 8.0308 8.0308
angles: 59.72 59.72 59.72
Element x y z (fractional)
Na (0.0000, 0.0000, 0.0000)
Dy (0.3696, 0.3696, 0.3696)
Tm (0.3695, 0.3695, 0.8880)
Tm (0.3695, 0.8880, 0.3695)
Tm (0.7488, 0.7488, 0.7488)
Tm (0.8880, 0.3695, 0.3695)
S (0.1335, 0.1335, 0.5910)
S (0.1335, 0.5910, 0.1335)
S (0.1357, 0.1357, 0.1357)
S (0.1471, 0.6181, 0.6181)
S (0.5910, 0.1335, 0.1335)
S (0.6161, 0.6161, 0.6161)
S (0.6181, 0.1471, 0.6181)
S (0.6181, 0.6181, 0.1471)

Main lines, in order of rising 2θ (2θ from 10° to 80°):
| two_theta | d [Å] | I_rel |
| --- | --- | --- |
| 13.53 | 6.544 | 51.8 |
| 22.18 | 4.008 | 18.4 |
| 26.06 | 3.419 | 100.0 |
| 26.13 | 3.410 | 34.9 |
| 27.30 | 3.267 | 23.7 |
| 31.58 | 2.833 | 50.7 |
| 41.38 | 2.182 | 41.2 |
| 41.46 | 2.178 | 20.9 |
| 45.16 | 2.008 | 41.9 |
| 45.36 | 1.999 | 41.6 |

=====

No. 12
Diffraction record for Pr6SiS12. The X-ray powder pattern is theoretical, not measured: it uses a DFT-relaxed cell (PBE, Alexandria) and CuKα.

Structure:
abc: 7.9588 7.9588 7.9588
angles: 98.84 98.84 98.84
Element x y z (fractional)
Pr (0.1338, 0.2889, 0.6287)
Pr (0.2889, 0.6287, 0.1338)
Pr (0.3713, 0.8662, 0.7111)
Pr (0.6287, 0.1338, 0.2889)
Pr (0.7111, 0.3713, 0.8662)
Pr (0.8662, 0.7111, 0.3713)
Si (0.0000, 0.0000, 0.0000)
S (0.0230, 0.9424, 0.7048)
S (0.0576, 0.2952, 0.9770)
S (0.1787, 0.5813, 0.4452)
S (0.2952, 0.9770, 0.0576)
S (0.4187, 0.5548, 0.8213)
S (0.4452, 0.1787, 0.5813)
S (0.5548, 0.8213, 0.4187)
S (0.5813, 0.4452, 0.1787)
S (0.7048, 0.0230, 0.9424)
S (0.8213, 0.4187, 0.5548)
S (0.9424, 0.7048, 0.0230)
S (0.9770, 0.0576, 0.2952)

Main lines, in order of rising 2θ (2θ from 10° to 80°):
| two_theta | d [Å] | I_rel |
| --- | --- | --- |
| 14.65 | 6.045 | 24.1 |
| 23.26 | 3.824 | 34.5 |
| 23.78 | 3.741 | 100.0 |
| 27.38 | 3.257 | 21.0 |
| 27.60 | 3.232 | 16.3 |
| 31.79 | 2.815 | 24.2 |
| 34.62 | 2.591 | 16.8 |
| 38.78 | 2.322 | 43.8 |
| 39.44 | 2.285 | 36.3 |
| 46.29 | 1.961 | 22.4 |